Ca2Mn3O8: theoretical XRD peak list (Cu Kα), based on a structure optimized by DFT (GGA+U).

Most intense lines, 5° ≤ 2θ ≤ 70°, low angle first:
d_spacing, two_theta, Rel. int.
5.236, 16.93, 100
4.308, 20.62, 31
3.233, 27.59, 65
2.959, 30.20, 55
2.585, 34.70, 33
2.446, 36.74, 53
2.003, 45.28, 64
1.926, 47.18, 32
1.671, 54.95, 38
1.459, 63.79, 36

Structural model:
Cell: 6.306 6.306 5.028 Å, 107.31 107.31 56.24°
Fractional positions:
Ca (0.223, 0.223, 0.164)
Ca (0.777, 0.777, 0.836)
Mn (0.242, 0.758, 0.500)
Mn (0.500, 0.500, 0.000)
Mn (0.758, 0.242, 0.500)
O (0.103, 0.103, 0.458)
O (0.176, 0.620, 0.108)
O (0.380, 0.824, 0.892)
O (0.403, 0.403, 0.597)
O (0.597, 0.597, 0.403)
O (0.620, 0.176, 0.108)
O (0.824, 0.380, 0.892)
O (0.897, 0.897, 0.542)

LiCoPO4: theoretical XRD peak list (Cu Kα), based on a structure optimized by DFT (GGA+U).

Most intense lines, 5° ≤ 2θ ≤ 70°, low angle first:
d_spacing, two_theta, Rel. int.
4.573, 19.41, 39
4.120, 21.57, 24
3.692, 24.11, 36
3.441, 25.89, 22
2.749, 32.58, 38
2.582, 34.75, 100
2.457, 36.57, 45
2.065, 43.85, 23
1.846, 49.37, 26
1.458, 63.83, 32

Structural model:
Cell: 4.953 4.953 6.256 Å, 90.00 90.00 112.58°
Fractional positions:
Li (0.170, 0.830, 0.750)
Li (0.830, 0.170, 0.250)
Co (0.500, 0.500, 0.000)
Co (0.500, 0.500, 0.500)
P (0.150, 0.850, 0.250)
P (0.850, 0.150, 0.750)
O (0.194, 0.262, 0.750)
O (0.255, 0.745, 0.047)
O (0.255, 0.745, 0.453)
O (0.262, 0.194, 0.250)
O (0.738, 0.806, 0.750)
O (0.745, 0.255, 0.547)
O (0.745, 0.255, 0.953)
O (0.806, 0.738, 0.250)

Li9Mn2Co5O16: theoretical XRD peak list (Cu Kα), based on a structure optimized by DFT (GGA+U).

Most intense lines, 5° ≤ 2θ ≤ 70°, low angle first:
d_spacing, two_theta, Rel. int.
4.840, 18.33, 100
2.599, 34.51, 18
2.500, 35.92, 13
2.432, 36.97, 10
2.178, 41.46, 33
2.075, 43.61, 27
2.010, 45.11, 24
1.507, 61.51, 8
1.455, 63.99, 9
1.432, 65.14, 8

Structural model:
Cell: 3.019 5.120 19.496 Å, 91.39 93.02 104.78°
Fractional positions:
Li (0.000, 0.000, 0.000)
Li (0.068, 0.309, 0.814)
Li (0.137, 0.619, 0.628)
Li (0.254, 0.246, 0.254)
Li (0.383, 0.878, 0.878)
Li (0.507, 0.498, 0.502)
Li (0.632, 0.120, 0.128)
Li (0.755, 0.740, 0.751)
Li (0.881, 0.372, 0.378)
Mn (0.314, 0.558, 0.062)
Mn (0.953, 0.685, 0.190)
Co (0.195, 0.936, 0.441)
Co (0.449, 0.190, 0.694)
Co (0.575, 0.809, 0.317)
Co (0.678, 0.429, 0.933)
Co (0.821, 0.060, 0.567)
O (0.002, 0.828, 0.098)
O (0.018, 0.180, 0.910)
O (0.111, 0.438, 0.718)
O (0.172, 0.794, 0.532)
O (0.213, 0.073, 0.350)
O (0.260, 0.416, 0.155)
O (0.365, 0.695, 0.971)
O (0.407, 0.033, 0.773)
O (0.457, 0.316, 0.602)
O (0.555, 0.671, 0.407)
O (0.636, 0.951, 0.225)
O (0.640, 0.299, 0.026)
O (0.730, 0.586, 0.854)
O (0.763, 0.925, 0.656)
O (0.832, 0.199, 0.475)
O (0.938, 0.547, 0.282)

NbV5P6O24: theoretical XRD peak list (Cu Kα), based on a structure optimized by DFT (GGA+U).

Most intense lines, 5° ≤ 2θ ≤ 70°, low angle first:
d_spacing, two_theta, Rel. int.
4.362, 20.36, 78
4.327, 20.52, 17
3.708, 24.00, 100
2.830, 31.62, 16
2.739, 32.69, 63
2.517, 35.66, 42
1.938, 46.87, 29
1.854, 49.14, 24
1.648, 55.76, 26
1.493, 62.18, 17

Structural model:
Cell: 8.655 8.655 8.655 Å, 60.53 60.53 60.53°
Fractional positions:
Nb (0.000, 0.000, 0.000)
V (0.214, 0.214, 0.214)
V (0.355, 0.355, 0.355)
V (0.500, 0.500, 0.500)
V (0.713, 0.713, 0.713)
V (0.855, 0.855, 0.855)
P (0.108, 0.407, 0.810)
P (0.318, 0.900, 0.602)
P (0.407, 0.810, 0.108)
P (0.602, 0.318, 0.900)
P (0.810, 0.108, 0.407)
P (0.900, 0.602, 0.318)
O (0.039, 0.242, 0.862)
O (0.096, 0.446, 0.296)
O (0.117, 0.919, 0.765)
O (0.171, 0.362, 0.967)
O (0.242, 0.862, 0.039)
O (0.264, 0.412, 0.617)
O (0.296, 0.096, 0.446)
O (0.349, 0.745, 0.542)
O (0.362, 0.967, 0.171)
O (0.412, 0.617, 0.264)
O (0.446, 0.296, 0.096)
O (0.467, 0.860, 0.672)
O (0.542, 0.349, 0.745)
O (0.597, 0.795, 0.947)
O (0.617, 0.264, 0.412)
O (0.672, 0.467, 0.860)
O (0.745, 0.542, 0.349)
O (0.765, 0.117, 0.919)
O (0.795, 0.947, 0.597)
O (0.860, 0.672, 0.467)
O (0.862, 0.039, 0.242)
O (0.919, 0.765, 0.117)
O (0.947, 0.597, 0.795)
O (0.967, 0.171, 0.362)

Li2MnF5: theoretical XRD peak list (Cu Kα), based on a structure optimized by DFT (GGA+U).

Most intense lines, 5° ≤ 2θ ≤ 70°, low angle first:
d_spacing, two_theta, Rel. int.
5.101, 17.38, 86
4.397, 20.20, 80
4.176, 21.28, 67
4.104, 21.65, 33
4.038, 22.01, 100
3.750, 23.73, 62
2.862, 31.26, 21
2.733, 32.77, 22
2.355, 38.22, 24
2.159, 41.84, 32

Structural model:
Cell: 5.728 11.447 6.140 Å, 90.00 95.87 90.00°
Fractional positions:
Li (0.005, 0.000, 0.166)
Li (0.162, 0.721, 0.682)
Li (0.367, 0.192, 0.506)
Li (0.471, 0.953, 0.173)
Li (0.529, 0.453, 0.827)
Li (0.633, 0.692, 0.494)
Li (0.838, 0.221, 0.318)
Li (0.995, 0.500, 0.834)
Mn (0.051, 0.991, 0.640)
Mn (0.347, 0.234, 0.996)
Mn (0.653, 0.734, 0.004)
Mn (0.949, 0.491, 0.360)
F (0.034, 0.343, 0.451)
F (0.085, 0.173, 0.141)
F (0.132, 0.147, 0.712)
F (0.181, 0.553, 0.576)
F (0.183, 0.940, 0.917)
F (0.232, 0.388, 0.968)
F (0.282, 0.007, 0.404)
F (0.472, 0.780, 0.234)
F (0.475, 0.768, 0.703)
F (0.479, 0.596, 0.984)
F (0.521, 0.096, 0.016)
F (0.525, 0.268, 0.297)
F (0.528, 0.280, 0.766)
F (0.718, 0.507, 0.596)
F (0.768, 0.888, 0.032)
F (0.817, 0.440, 0.083)
F (0.819, 0.053, 0.424)
F (0.868, 0.647, 0.288)
F (0.915, 0.673, 0.859)
F (0.966, 0.843, 0.549)

LiV2O3F3: theoretical XRD peak list (Cu Kα), based on a structure optimized by DFT (GGA+U).

Most intense lines, 5° ≤ 2θ ≤ 70°, low angle first:
d_spacing, two_theta, Rel. int.
3.794, 23.44, 100
3.593, 24.78, 51
2.738, 32.71, 12
2.688, 33.34, 10
2.656, 33.74, 10
2.261, 39.88, 18
1.901, 47.85, 11
1.893, 48.05, 11
1.796, 50.82, 9
1.722, 53.21, 13

Structural model:
Cell: 5.091 5.126 13.528 Å, 87.97 87.30 62.01°
Fractional positions:
Li (0.000, 0.000, 0.000)
Li (0.323, 0.349, 0.332)
Li (0.669, 0.680, 0.669)
V (0.022, 0.998, 0.785)
V (0.381, 0.294, 0.610)
V (0.396, 0.289, 0.120)
V (0.677, 0.678, 0.452)
V (0.725, 0.615, 0.942)
V (0.997, 0.002, 0.279)
O (0.098, 0.227, 0.206)
O (0.287, 0.049, 0.702)
O (0.453, 0.585, 0.535)
O (0.618, 0.385, 0.032)
O (0.621, 0.999, 0.540)
O (0.669, 0.059, 0.201)
O (0.794, 0.910, 0.869)
O (0.952, 0.721, 0.368)
O (0.965, 0.321, 0.870)
F (0.010, 0.614, 0.040)
F (0.025, 0.389, 0.535)
F (0.061, 0.656, 0.694)
F (0.297, 0.639, 0.206)
F (0.340, 0.965, 0.372)
F (0.365, 0.714, 0.868)
F (0.392, 0.994, 0.029)
F (0.675, 0.297, 0.704)
F (0.706, 0.334, 0.365)